Record 1
Diffraction record for Tl2InI5. The X-ray diffraction stick pattern is theoretical, not measured: it uses a DFT-relaxed cell (GGA-PBE, Alexandria) and λ = 1.5418 Å (Cu Kα).
Intensities are scaled so that the largest is 100.

Most intense lines, 2θ = 10–90°, low angle first:
Position (°2θ), d (Å), I/Imax
12.8, 6.929, 29
14.1, 6.277, 67
20.6, 4.307, 78
25.4, 3.502, 58
25.7, 3.464, 63
30.2, 2.960, 100
32.3, 2.773, 33
33.5, 2.678, 33
35.6, 2.518, 30
35.9, 2.504, 30

Structural model:
```
Tl2InI5
1.0
7.562 -4.154 0.000
7.562 4.154 0.000
-4.705 0.000 7.007
Tl In I
2 1 5
Direct
0.000 0.000 0.000
0.505 0.505 0.453
0.699 0.699 0.147
0.386 0.869 0.852
0.427 0.905 0.364
0.869 0.386 0.852
0.905 0.427 0.364
0.919 0.919 0.336
```

---

Record 2
Diffraction record for Tl4InI5. The X-ray diffraction stick pattern is theoretical, not measured: it uses a DFT-relaxed cell (GGA-PBE, Alexandria) and λ = 1.5418 Å (Cu Kα).
Intensities are scaled so that the largest is 100.

Most intense lines, 2θ = 10–90°, low angle first:
Position (°2θ), d (Å), I/Imax
21.7, 4.088, 7
25.2, 3.540, 100
35.9, 2.503, 80
44.3, 2.044, 29
51.6, 1.770, 14
58.3, 1.583, 39
64.5, 1.445, 29
76.0, 1.252, 9
81.6, 1.180, 19
87.0, 1.120, 13

Structural model:
```
Tl4InI5
1.0
-5.598 5.598 3.540
5.598 -5.598 3.540
5.598 5.598 -3.540
Tl In I
4 1 5
Direct
0.099 0.700 0.799
0.300 0.099 0.399
0.700 0.901 0.601
0.901 0.300 0.201
0.501 0.501 0.000
0.202 0.401 0.602
0.401 0.798 0.199
0.600 0.202 0.801
0.798 0.600 0.398
0.999 0.999 0.000
```